Starting from the PBE geometry in Alexandria, the XRD peak list of Zr3Ga2C was calculated for CuKα.
No peak broadening, texture or thermal motion is included.

Main lines, in order of rising 2θ (5° ≤ 2θ ≤ 70°):
two_theta  I (rel.)
32.3  13
34.0  73
34.8  100
35.3  46
39.4  61
49.4  71
56.5  16
64.5  14
67.6  18
68.2  33

Structure:
Cell lengths 3.2596, 5.2718, 12.6788 Å; angles 90.00, 90.00, 90.00 degrees
Space group Immm (No. 71)
Symmetry-distinct sites (fractional):
1 Zr 0.0000 0.0000 0.0000 x2
2 Zr 0.0000 0.0000 0.3756 x4
3 Ga 0.0000 0.5000 0.3156 x4
4 C 0.0000 0.5000 0.0000 x2

=====

Starting from the PBE geometry in Alexandria, the XRD peak list of Nd2Sm5Bi4 was calculated for CuKα.
No peak broadening, texture or thermal motion is included.

Main lines, in order of rising 2θ (5° ≤ 2θ ≤ 70°):
two_theta  I (rel.)
27.7  15
28.6  16
29.0  100
30.4  18
33.1  32
33.2  15
38.8  22
38.9  12
39.7  24
43.2  13

Structure:
Cell lengths 19.4285, 4.5427, 8.4203 Å; angles 90.00, 96.09, 90.00 degrees
Space group C2/m (No. 12)
Symmetry-distinct sites (fractional):
1 Nd 0.1685 0.0000 0.3443 x4
2 Sm 0.0000 0.5000 0.5000 x2
3 Sm 0.0843 0.5000 0.0115 x4
4 Sm 0.2108 0.0000 0.8637 x4
5 Bi 0.0022 0.0000 0.2243 x4
6 Bi 0.1625 0.5000 0.6129 x4

=====

Starting from the PBE geometry in Alexandria, the XRD peak list of ErSc2Mn9 was calculated for CuKα.
No peak broadening, texture or thermal motion is included.

Main lines, in order of rising 2θ (5° ≤ 2θ ≤ 70°):
two_theta  I (rel.)
11.4  27
25.4  17
33.8  20
35.5  33
37.1  23
41.4  34
42.0  20
42.7  100
46.8  21
68.7  22

Structure:
Cell lengths 5.0593, 5.0593, 23.2703 Å; angles 90.00, 90.00, 120.00 degrees
Space group R-3m (No. 166, hexagonal axes)
Symmetry-distinct sites (fractional):
1 Er 0.0000 0.0000 0.0000 x3
2 Sc 0.0000 0.0000 0.1435 x6
3 Mn 0.0000 0.0000 0.3345 x6
4 Mn 0.0000 0.0000 0.5000 x3
5 Mn 0.0040 0.5020 0.9155 x18

=====

Starting from the PBE geometry in Alexandria, the XRD peak list of Ac2La2PmEr was calculated for CuKα.
No peak broadening, texture or thermal motion is included.

Main lines, in order of rising 2θ (5° ≤ 2θ ≤ 70°):
two_theta  I (rel.)
24.1  5
29.7  95
30.0  100
38.8  8
42.7  36
49.3  9
53.0  38
53.2  20
58.7  30
62.2  12

Structure:
Cell lengths 7.3968, 5.9676, 10.3306 Å; angles 90.00, 90.00, 90.00 degrees
Space group Pmma (No. 51)
Symmetry-distinct sites (fractional):
1 Ac 0.0000 0.0000 0.0000 x2
2 Ac 0.2500 0.5000 0.1742 x2
3 La 0.2500 0.0000 0.3438 x2
4 La 0.2500 0.5000 0.8274 x2
5 Pm 0.0000 0.5000 0.5000 x2
6 Er 0.2500 0.0000 0.6643 x2